[1]
Diffraction record for Ag2TeAsSe4. The powder diffractogram is simulated, not measured: it uses a structure optimized by DFT (PBE) and Cu Ka.
Lines closer than 0.1° are merged.

Principal peaks in the range 2θ = 15–90°, sorted by position:
| 2theta | d [Å] | I/Imax |
| --- | --- | --- |
| 30.5 | 2.928 | 100 |
| 31.1 | 2.875 | 100 |
| 31.5 | 2.841 | 94 |
| 44.0 | 2.058 | 66 |
| 44.3 | 2.043 | 69 |
| 44.8 | 2.022 | 34 |
| 45.4 | 1.999 | 34 |
| 55.3 | 1.662 | 17 |
| 55.5 | 1.656 | 16 |
| 55.8 | 1.646 | 17 |

Atomic structure:
Lattice parameters (Å, degrees): 5.6832 5.8575 7.0015 114.70 112.40 90.96
Fractional positions:
Ag 0.0000 0.0000 0.0000
Ag 0.2392 0.7601 0.4895
Te 0.5184 0.4898 0.0070
As 0.7331 0.2523 0.4828
Se 0.0084 0.4832 0.9903
Se 0.3120 0.2367 0.5077
Se 0.5194 0.0049 0.0244
Se 0.7637 0.6867 0.5015

[2]
Diffraction record for RbSbPbO6. The powder diffractogram is simulated, not measured: it uses a structure optimized by DFT (PBE) and Cu Ka.
Lines closer than 0.1° are merged.

Principal peaks in the range 2θ = 15–90°, sorted by position:
| 2theta | d [Å] | I/Imax |
| --- | --- | --- |
| 23.0 | 3.866 | 100 |
| 28.3 | 3.151 | 17 |
| 31.7 | 2.827 | 45 |
| 34.8 | 2.579 | 28 |
| 39.5 | 2.282 | 20 |
| 43.0 | 2.104 | 59 |
| 47.1 | 1.931 | 15 |
| 51.5 | 1.776 | 22 |
| 56.4 | 1.632 | 14 |
| 64.3 | 1.449 | 13 |

Atomic structure:
Lattice parameters (Å, degrees): 5.6534 5.6534 12.6036 90.00 90.00 120.00
Fractional positions:
Rb 0.0000 0.0000 0.0000
Rb 0.0000 0.0000 0.5000
Sb 0.3333 0.6667 0.2500
Sb 0.6667 0.3333 0.7500
Pb 0.3333 0.6667 0.7500
Pb 0.6667 0.3333 0.2500
O 0.0244 0.3977 0.1582
O 0.0244 0.6267 0.3418
O 0.3733 0.3977 0.3418
O 0.3733 0.9756 0.1582
O 0.3977 0.0244 0.6582
O 0.3977 0.3733 0.8418
O 0.6023 0.6267 0.1582
O 0.6023 0.9756 0.3418
O 0.6267 0.0244 0.8418
O 0.6267 0.6023 0.6582
O 0.9756 0.3733 0.6582
O 0.9756 0.6023 0.8418

[3]
Diffraction record for LiTbZnGe2. The powder diffractogram is simulated, not measured: it uses a structure optimized by DFT (PBE) and Cu Ka.
Lines closer than 0.1° are merged.

Principal peaks in the range 2θ = 15–90°, sorted by position:
| 2theta | d [Å] | I/Imax |
| --- | --- | --- |
| 15.9 | 5.557 | 26 |
| 23.2 | 3.838 | 25 |
| 30.9 | 2.892 | 52 |
| 32.6 | 2.746 | 100 |
| 35.0 | 2.565 | 93 |
| 44.3 | 2.045 | 53 |
| 46.5 | 1.953 | 58 |
| 56.1 | 1.640 | 42 |
| 66.2 | 1.412 | 40 |
| 75.5 | 1.260 | 19 |

Atomic structure:
Lattice parameters (Å, degrees): 6.2643 6.2643 6.2643 141.89 141.89 54.99
Fractional positions:
Li 0.0000 0.0000 0.0000
Tb 0.2500 0.7500 0.5000
Zn 0.5000 0.5000 0.0000
Ge 0.6379 0.1379 0.5000
Ge 0.8621 0.3621 0.5000